(1)
Diffraction record for RbLaTa2. The X-ray diffraction stick pattern is simulated, not measured: it uses a PBE-relaxed structure and Cu Kα.
Kinematic intensities with the Lorentz-polarization factor, no thermal factor.

Peak list (8 most intense, 2θ = 10–90°, in order of rising 2θ)
2theta	I/Imax
30.76	100
31.17	47
38.08	56
45.52	64
50.00	26
65.67	22
70.56	18
70.78	17

Atomic structure:
```
data_RbLaTa2
_chemical_formula_sum 'Rb2 La2 Ta4'
_cell_length_a 11.8648
_cell_length_b 11.8648
_cell_length_c 11.8648
_cell_angle_alpha 159.37
_cell_angle_beta 159.37
_cell_angle_gamma 29.34
_space_group_name_H-M_alt 'P 1'
_space_group_IT_number 1
loop_
_space_group_symop_operation_xyz
'x,y,z'
loop_
_atom_site_label
_atom_site_type_symbol
_atom_site_fract_x
_atom_site_fract_y
_atom_site_fract_z
_atom_site_occupancy
Rb1 Rb 0.0000 0.0000 0.0000 1
Rb2 Rb 0.7500 0.2500 0.5000 1
La1 La 0.2500 0.7500 0.5000 1
La2 La 0.5000 0.5000 0.0000 1
Ta1 Ta 0.1468 0.6250 0.0218 1
Ta2 Ta 0.3750 0.3968 0.5218 1
Ta3 Ta 0.6032 0.1250 0.9782 1
Ta4 Ta 0.8750 0.8532 0.4782 1
```

---

(2)
Diffraction record for Ba3SnGe2O8. The X-ray diffraction stick pattern is simulated, not measured: it uses a PBE-relaxed structure and Cu Kα.
Kinematic intensities with the Lorentz-polarization factor, no thermal factor.

Peak list (8 most intense, 2θ = 10–90°, in order of rising 2θ)
2theta	I/Imax
28.72	89
29.55	100
41.67	45
50.36	17
51.91	34
52.42	20
61.33	17
69.10	15

Atomic structure:
```
data_Ba3SnGe2O8
_chemical_formula_sum 'Ba3 Sn1 Ge2 O8'
_cell_length_a 6.0465
_cell_length_b 6.0465
_cell_length_c 7.7249
_cell_angle_alpha 90.00
_cell_angle_beta 90.00
_cell_angle_gamma 120.00
_space_group_name_H-M_alt 'P 1'
_space_group_IT_number 1
loop_
_space_group_symop_operation_xyz
'x,y,z'
loop_
_atom_site_label
_atom_site_type_symbol
_atom_site_fract_x
_atom_site_fract_y
_atom_site_fract_z
_atom_site_occupancy
Ba1 Ba 0.0000 0.0000 0.0000 1
Ba2 Ba 0.3333 0.6667 0.6636 1
Ba3 Ba 0.6667 0.3333 0.3364 1
Sn1 Sn 0.0000 0.0000 0.5000 1
Ge1 Ge 0.3333 0.6667 0.2055 1
Ge2 Ge 0.6667 0.3333 0.7945 1
O1 O 0.1753 0.3505 0.2968 1
O2 O 0.1753 0.8247 0.2968 1
O3 O 0.3333 0.6667 0.9802 1
O4 O 0.3505 0.1753 0.7032 1
O5 O 0.6495 0.8247 0.2968 1
O6 O 0.6667 0.3333 0.0198 1
O7 O 0.8247 0.1753 0.7032 1
O8 O 0.8247 0.6495 0.7032 1
```

---

(3)
Diffraction record for Li2RhO3. The X-ray diffraction stick pattern is simulated, not measured: it uses a PBE-relaxed structure and Cu Kα.
Kinematic intensities with the Lorentz-polarization factor, no thermal factor.

Peak list (8 most intense, 2θ = 10–90°, in order of rising 2θ)
2theta	I/Imax
18.92	100
23.28	20
31.14	26
35.59	17
36.99	19
42.74	19
43.09	37
62.31	22

Atomic structure:
```
data_Li2RhO3
_chemical_formula_sum 'Li8 Rh4 O12'
_cell_length_a 9.8540
_cell_length_b 9.3820
_cell_length_c 5.1703
_cell_angle_alpha 79.52
_cell_angle_beta 69.42
_cell_angle_gamma 31.06
_space_group_name_H-M_alt 'P 1'
_space_group_IT_number 1
loop_
_space_group_symop_operation_xyz
'x,y,z'
loop_
_atom_site_label
_atom_site_type_symbol
_atom_site_fract_x
_atom_site_fract_y
_atom_site_fract_z
_atom_site_occupancy
Li1 Li 0.0448 0.0448 0.2052 1
Li2 Li 0.1234 0.1234 0.6266 1
Li3 Li 0.2052 0.2052 0.0448 1
Li4 Li 0.3734 0.3734 0.8766 1
Li5 Li 0.6266 0.6266 0.1234 1
Li6 Li 0.7948 0.7948 0.9552 1
Li7 Li 0.8766 0.8766 0.3734 1
Li8 Li 0.9552 0.9552 0.7948 1
Rh1 Rh 0.2918 0.2918 0.4582 1
Rh2 Rh 0.4582 0.4582 0.2918 1
Rh3 Rh 0.5418 0.5418 0.7082 1
Rh4 Rh 0.7082 0.7082 0.5418 1
O1 O 0.0419 0.5336 0.2282 1
O2 O 0.1386 0.6114 0.6114 1
O3 O 0.2282 0.6962 0.0419 1
O4 O 0.3038 0.7718 0.4664 1
O5 O 0.3886 0.8614 0.8614 1
O6 O 0.4664 0.9581 0.3038 1
O7 O 0.5336 0.0419 0.6962 1
O8 O 0.6114 0.1386 0.1386 1
O9 O 0.6962 0.2282 0.5336 1
O10 O 0.7718 0.3038 0.9581 1
O11 O 0.8614 0.3886 0.3886 1
O12 O 0.9581 0.4664 0.7718 1
```

---

(4)
Diffraction record for Ba3Pt5. The X-ray diffraction stick pattern is simulated, not measured: it uses a PBE-relaxed structure and Cu Kα.
Kinematic intensities with the Lorentz-polarization factor, no thermal factor.

Peak list (8 most intense, 2θ = 10–90°, in order of rising 2θ)
2theta	I/Imax
18.67	100
26.38	45
26.55	44
30.97	70
36.45	63
39.07	79
40.97	31
41.20	31

Atomic structure:
```
data_Ba3Pt5
_chemical_formula_sum 'Ba6 Pt10'
_cell_length_a 9.6215
_cell_length_b 9.6215
_cell_length_c 7.3308
_cell_angle_alpha 91.93
_cell_angle_beta 91.93
_cell_angle_gamma 135.55
_space_group_name_H-M_alt 'P 1'
_space_group_IT_number 1
loop_
_space_group_symop_operation_xyz
'x,y,z'
loop_
_atom_site_label
_atom_site_type_symbol
_atom_site_fract_x
_atom_site_fract_y
_atom_site_fract_z
_atom_site_occupancy
Ba1 Ba 0.1935 0.8065 0.0000 1
Ba2 Ba 0.2530 0.2530 0.7480 1
Ba3 Ba 0.3010 0.6990 0.5000 1
Ba4 Ba 0.6990 0.3010 0.5000 1
Ba5 Ba 0.7470 0.7470 0.2520 1
Ba6 Ba 0.8065 0.1935 0.0000 1
Pt1 Pt 0.0003 0.2419 0.3836 1
Pt2 Pt 0.9997 0.7581 0.6164 1
Pt3 Pt 0.2370 0.2370 0.2331 1
Pt4 Pt 0.2419 0.0003 0.3836 1
Pt5 Pt 0.2638 0.5083 0.1227 1
Pt6 Pt 0.4917 0.7362 0.8773 1
Pt7 Pt 0.5083 0.2638 0.1227 1
Pt8 Pt 0.7362 0.4917 0.8773 1
Pt9 Pt 0.7581 0.9997 0.6164 1
Pt10 Pt 0.7630 0.7630 0.7669 1
```

---

(5)
Diffraction record for AcDyAg4. The X-ray diffraction stick pattern is simulated, not measured: it uses a PBE-relaxed structure and Cu Kα.
Kinematic intensities with the Lorentz-polarization factor, no thermal factor.

Peak list (8 most intense, 2θ = 10–90°, in order of rising 2θ)
2theta	I/Imax
32.24	100
32.45	52
36.92	33
37.47	63
49.23	14
49.96	31
63.46	26
64.58	15

Atomic structure:
```
data_AcDyAg4
_chemical_formula_sum 'Ac1 Dy1 Ag4'
_cell_length_a 3.7019
_cell_length_b 4.8696
_cell_length_c 8.2763
_cell_angle_alpha 90.00
_cell_angle_beta 90.00
_cell_angle_gamma 90.00
_space_group_name_H-M_alt 'P 1'
_space_group_IT_number 1
loop_
_space_group_symop_operation_xyz
'x,y,z'
loop_
_atom_site_label
_atom_site_type_symbol
_atom_site_fract_x
_atom_site_fract_y
_atom_site_fract_z
_atom_site_occupancy
Ac1 Ac 0.0000 0.0000 0.0000 1
Dy1 Dy 0.0000 0.5000 0.5000 1
Ag1 Ag 0.5000 0.0000 0.3380 1
Ag2 Ag 0.5000 0.0000 0.6620 1
Ag3 Ag 0.5000 0.5000 0.1761 1
Ag4 Ag 0.5000 0.5000 0.8239 1
```

---

(6)
Diffraction record for Pu2Ge3Au9. The X-ray diffraction stick pattern is simulated, not measured: it uses a PBE-relaxed structure and Cu Kα.
Kinematic intensities with the Lorentz-polarization factor, no thermal factor.

Peak list (8 most intense, 2θ = 10–90°, in order of rising 2θ)
2theta	I/Imax
35.60	100
37.74	38
37.94	27
39.96	11
43.78	16
52.97	16
66.68	18
67.03	12

Atomic structure:
```
data_Pu2Ge3Au9
_chemical_formula_sum 'Pu4 Ge6 Au18'
_cell_length_a 8.2297
_cell_length_b 8.2297
_cell_length_c 10.6704
_cell_angle_alpha 112.54
_cell_angle_beta 112.54
_cell_angle_gamma 60.33
_space_group_name_H-M_alt 'P 1'
_space_group_IT_number 1
loop_
_space_group_symop_operation_xyz
'x,y,z'
loop_
_atom_site_label
_atom_site_type_symbol
_atom_site_fract_x
_atom_site_fract_y
_atom_site_fract_z
_atom_site_occupancy
Pu1 Pu 0.0757 0.2437 0.2441 1
Pu2 Pu 0.2437 0.0757 0.7441 1
Pu3 Pu 0.7563 0.9243 0.2559 1
Pu4 Pu 0.9243 0.7563 0.7559 1
Ge1 Ge 0.0000 0.5000 0.0000 1
Ge2 Ge 0.1209 0.7142 0.5161 1
Ge3 Ge 0.2858 0.8791 0.9839 1
Ge4 Ge 0.5000 0.0000 0.5000 1
Ge5 Ge 0.7142 0.1209 0.0161 1
Ge6 Ge 0.8791 0.2858 0.4839 1
Au1 Au 0.0486 0.8357 0.0932 1
Au2 Au 0.1643 0.9514 0.4068 1
Au3 Au 0.1887 0.3655 0.5817 1
Au4 Au 0.1978 0.5628 0.2703 1
Au5 Au 0.2903 0.4750 0.9241 1
Au6 Au 0.3655 0.1887 0.0817 1
Au7 Au 0.3746 0.6254 0.7500 1
Au8 Au 0.4372 0.8022 0.2297 1
Au9 Au 0.4750 0.2903 0.4241 1
Au10 Au 0.5250 0.7097 0.5759 1
Au11 Au 0.5628 0.1978 0.7703 1
Au12 Au 0.6254 0.3746 0.2500 1
Au13 Au 0.6345 0.8113 0.9183 1
Au14 Au 0.7097 0.5250 0.0759 1
Au15 Au 0.8022 0.4372 0.7297 1
Au16 Au 0.8113 0.6345 0.4183 1
Au17 Au 0.8357 0.0486 0.5932 1
Au18 Au 0.9514 0.1643 0.9068 1
```